(1)
# KTa5S8
Calculated powder diffractogram, a wavelength of 1.5418 Å. Input: a cell relaxed with PBE.
Neutral-atom scattering factors, no anomalous dispersion.

Peak list (10 most intense, 2θ = 5–70°, by angle)
2theta	Rel. int.
9.77	76
10.49	100
12.11	53
19.61	58
31.09	61
31.21	31
39.51	55
39.99	72
42.45	31
54.46	33

```
data_KTa5S8
_symmetry_space_group_name_H-M 'P 1'
_symmetry_Int_Tables_number 1
_cell_length_a 8.9602
_cell_length_b 8.9602
_cell_length_c 9.4551
_cell_angle_alpha 106.40
_cell_angle_beta 106.40
_cell_angle_gamma 21.53
loop_
_symmetry_equiv_pos_as_xyz
'x,y,z'
loop_
_atom_site_label
_atom_site_fract_x
_atom_site_fract_y
_atom_site_fract_z
_atom_site_occupancy
K1 0.0000 0.0000 0.0000 1
Ta1 0.1765 0.1765 0.5352 1
Ta2 0.2195 0.2195 0.9149 1
Ta3 0.5222 0.5222 0.5336 1
Ta4 0.7964 0.7964 0.1695 1
Ta5 0.8237 0.8237 0.5395 1
S1 0.0906 0.0906 0.7121 1
S2 0.2553 0.2553 0.3479 1
S3 0.3620 0.3620 0.0527 1
S4 0.4192 0.4192 0.6896 1
S5 0.5941 0.5941 0.3534 1
S6 0.6553 0.6553 0.0345 1
S7 0.7555 0.7555 0.7299 1
S8 0.9253 0.9253 0.3868 1
```

(2)
# K3Y3TaS8
Calculated powder diffractogram, a wavelength of 1.5418 Å. Input: a cell relaxed with PBE.
Neutral-atom scattering factors, no anomalous dispersion.

Peak list (10 most intense, 2θ = 5–70°, by angle)
2theta	Rel. int.
11.75	87
13.61	24
23.63	17
26.53	19
27.41	20
30.71	100
38.47	22
41.59	36
46.28	31
56.57	16

```
data_K3Y3TaS8
_symmetry_space_group_name_H-M 'P 1'
_symmetry_Int_Tables_number 1
_cell_length_a 8.7887
_cell_length_b 8.7887
_cell_length_c 8.7887
_cell_angle_alpha 53.03
_cell_angle_beta 53.03
_cell_angle_gamma 53.03
loop_
_symmetry_equiv_pos_as_xyz
'x,y,z'
loop_
_atom_site_label
_atom_site_fract_x
_atom_site_fract_y
_atom_site_fract_z
_atom_site_occupancy
K1 0.0000 0.5000 0.5000 1
K2 0.5000 0.0000 0.5000 1
K3 0.5000 0.5000 0.0000 1
Y1 0.0000 0.0000 0.5000 1
Y2 0.0000 0.5000 0.0000 1
Y3 0.5000 0.0000 0.0000 1
Ta1 0.5000 0.5000 0.5000 1
S1 0.2346 0.2346 0.2346 1
S2 0.2558 0.7175 0.7175 1
S3 0.2825 0.2825 0.7442 1
S4 0.2825 0.7442 0.2825 1
S5 0.7175 0.2558 0.7175 1
S6 0.7175 0.7175 0.2558 1
S7 0.7442 0.2825 0.2825 1
S8 0.7654 0.7654 0.7654 1
```